Computed XRD peak list
Compound: Hf2CdTe
Radiation: Cu Kα X-rays
Structure: a cell relaxed with PBE
Neutral-atom scattering factors, no anomalous dispersion.

Structural model:
Cell: 7.190 7.190 7.190 Å, 90.00 90.00 90.00°
Space group F-43m (No. 216)
Unique sites:
Hf 0.000 0.000 0.000 [4 per cell]
Hf 0.250 0.250 0.250 [4 per cell]
Cd 0.250 0.250 0.750 [4 per cell]
Te 0.000 0.000 0.500 [4 per cell]

Peak list (10 most intense, 10° ≤ 2θ ≤ 90°, in order of rising 2θ)
d 4.151, intensity 4.1, hkl 1 1 1; d 2.542, intensity 100.0, hkl 2 2 0; d 2.168, intensity 2.4, hkl 3 1 1; d 1.797, intensity 17.7, hkl 4 0 0; d 1.649, intensity 1.1, hkl 3 3 1; d 1.468, intensity 36.3, hkl 4 2 2; d 1.384, intensity 0.9, hkl 5 1 1; d 1.271, intensity 11.2, hkl 4 4 0; d 1.215, intensity 0.9, hkl 5 3 1; d 1.137, intensity 16.1, hkl 6 2 0

***

Computed XRD peak list
Compound: Lu2Sc2Tl5Ni2
Radiation: Cu Kα X-rays
Structure: a cell relaxed with PBE
Neutral-atom scattering factors, no anomalous dispersion.

Structural model:
Cell: 7.720 3.439 9.375 Å, 90.00 94.61 90.00°
Space group P2/m (No. 10)
Unique sites:
Lu 0.203 0.000 0.435 [2 per cell]
Sc 0.186 0.000 0.837 [2 per cell]
Tl 0.145 0.500 0.136 [2 per cell]
Tl 0.453 0.500 0.667 [2 per cell]
Tl 0.500 0.500 0.000 [1 per cell]
Ni 0.074 0.500 0.633 [2 per cell]

Peak list (10 most intense, 10° ≤ 2θ ≤ 90°, in order of rising 2θ)
d 3.663, intensity 19.0, hkl 2 0 -1; d 3.439, intensity 23.4, hkl 0 1 0; d 2.810, intensity 42.4, hkl 1 0 3; d 2.646, intensity 23.2, hkl 1 1 -2; d 2.566, intensity 100.0, hkl 3 0 0; d 2.523, intensity 33.1, hkl 2 0 -3; d 2.440, intensity 19.4, hkl 2 1 1; d 2.248, intensity 20.0, hkl 1 1 -3; d 2.176, intensity 17.9, hkl 3 0 2; d 2.035, intensity 17.4, hkl 3 1 -1

***

Computed XRD peak list
Compound: Pm4ThSe5
Radiation: Cu Kα X-rays
Structure: a cell relaxed with PBE
Neutral-atom scattering factors, no anomalous dispersion.

Structural model:
Cell: 4.1648 4.1648 52.1584 Å, 90.00 90.00 120.00°
Space group R-3m (No. 166, hexagonal axes)
Unique sites:
Pm 0.0000 0.0000 0.1002 [6 per cell]
Pm 0.0000 0.0000 0.3006 [6 per cell]
Th 0.0000 0.0000 0.5000 [3 per cell]
Se 0.0000 0.0000 0.0000 [3 per cell]
Se 0.0000 0.0000 0.2007 [6 per cell]
Se 0.0000 0.0000 0.3997 [6 per cell]

Peak list (10 most intense, 10° ≤ 2θ ≤ 90°, in order of rising 2θ)
d 3.409, intensity 16.3, hkl 0 1 5; d 2.967, intensity 100.0, hkl 1 0 10; d 2.113, intensity 38.2, hkl 0 1 20; d 2.082, intensity 36.7, hkl 1 1 0; d 1.739, intensity 7.0, hkl 0 0 30; d 1.704, intensity 19.6, hkl 0 2 10; d 1.483, intensity 12.4, hkl 2 0 20; d 1.335, intensity 17.4, hkl 1 1 30; d 1.319, intensity 16.7, hkl 2 1 10; d 1.208, intensity 12.7, hkl 1 2 20

***

Computed XRD peak list
Compound: K2GaNiCl6
Radiation: Cu Kα X-rays
Structure: a cell relaxed with PBE
Neutral-atom scattering factors, no anomalous dispersion.

Structural model:
Cell: 9.762 9.762 9.762 Å, 90.00 90.00 90.00°
Space group Fm-3m (No. 225)
Unique sites:
K 0.250 0.250 0.250 [8 per cell]
Ga 0.000 0.000 0.000 [4 per cell]
Ni 0.000 0.000 0.500 [4 per cell]
Cl 0.000 0.000 0.253 [24 per cell]

Peak list (10 most intense, 10° ≤ 2θ ≤ 90°, in order of rising 2θ)
d 4.881, intensity 55.9, hkl 2 0 0; d 3.451, intensity 60.8, hkl 2 2 0; d 2.818, intensity 27.7, hkl 2 2 2; d 2.441, intensity 100.0, hkl 4 0 0; d 2.183, intensity 25.6, hkl 4 2 0; d 1.993, intensity 25.9, hkl 4 2 2; d 1.726, intensity 62.1, hkl 4 4 0; d 1.627, intensity 12.2, hkl 6 0 0; d 1.409, intensity 19.9, hkl 4 4 4; d 1.091, intensity 26.5, hkl 8 4 0